Computed powder diffraction line list of Li3V6O16 for Cu Kα (weighted mean of Kα1 and Kα2), from a structure optimized by DFT (GGA+U).
Kinematic intensities with the Lorentz-polarization factor, no thermal factor.

The 10 most intense peaks (15 to 90 degrees two-theta), by angle:
(0 0 2), 15.23 deg, 5.818 Å, intensity 11; (0 0 3), 22.92 deg, 3.879 Å, intensity 25; (2 0 0), 27.07 deg, 3.294 Å, intensity 22; (1 1 0), 27.89 deg, 3.199 Å, intensity 100; (1 0 -4), 30.21 deg, 2.959 Å, intensity 48; (2 0 3), 40.22 deg, 2.242 Å, intensity 30; (2 0 -5), 41.34 deg, 2.184 Å, intensity 27; (0 2 0), 49.83 deg, 1.830 Å, intensity 28; (3 1 -5), 55.60 deg, 1.653 Å, intensity 12; (3 1 3), 59.07 deg, 1.564 Å, intensity 14

Crystal structure
```
data_Li3V6O16
_symmetry_space_group_name_H-M 'P 1 m 1'
_symmetry_Int_Tables_number 6
_cell_length_a 6.8170
_cell_length_b 3.6601
_cell_length_c 12.0421
_cell_angle_alpha 90.00
_cell_angle_beta 104.92
_cell_angle_gamma 90.00
loop_
_symmetry_equiv_pos_as_xyz
'x,y,z'
'x,-y,z'
loop_
_atom_site_label
_atom_site_fract_x
_atom_site_fract_y
_atom_site_fract_z
_atom_site_occupancy
Li1 0.0000 0.0000 0.0000 1
Li2 0.2881 0.0000 0.3718 1
Li3 0.6659 0.5000 0.7304 1
V1 0.1692 0.5000 0.5884 1
V2 0.2176 0.5000 0.8537 1
V3 0.3544 0.5000 0.1359 1
V4 0.5934 0.0000 0.9720 1
V5 0.7375 0.0000 0.2497 1
V6 0.7849 0.0000 0.5163 1
O1 0.0859 0.0000 0.5907 1
O2 0.1432 0.5000 0.0084 1
O3 0.2483 0.5000 0.2434 1
O4 0.2909 0.0000 0.8795 1
O5 0.2960 0.5000 0.4892 1
O6 0.3500 0.5000 0.7229 1
O7 0.4206 0.0000 0.1236 1
O8 0.5192 0.5000 0.9781 1
O9 0.6051 0.0000 0.3822 1
O10 0.6546 0.5000 0.2247 1
O11 0.6589 0.0000 0.6163 1
O12 0.7196 0.0000 0.8709 1
O13 0.7980 0.0000 0.0958 1
O14 0.8687 0.5000 0.5142 1
O15 0.9727 0.0000 0.3294 1
O16 0.9801 0.5000 0.7751 1
```